1.
The following is a computed PXRD pattern of Mg3Si4. It was derived from a crystal structure in the Materials Project, relaxed with GGA-PBE, using Cu Kα.
Peak positions follow from Bragg's law for the DFT cell and can differ from measured ones.

Largest 6 diffraction maxima, in order of rising 2θ, 2θ = 10–80°:
- 2θ = 35.34°, rel. 62.4
- 2θ = 35.75°, rel. 100.0
- 2θ = 37.34°, rel. 89.5
- 2θ = 37.97°, rel. 40.0
- 2θ = 42.30°, rel. 46.9
- 2θ = 43.65°, rel. 41.6

Atomic structure:
a b c (Å): 6.433 6.746 6.841
angles (deg): 108.12 107.24 103.83
Sites, in units of the cell vectors:
Mg  0.000  0.000  0.000
Mg  0.063  0.611  0.203
Mg  0.290  0.701  0.885
Mg  0.510  0.780  0.577
Mg  0.734  0.828  0.272
Mg  0.892  0.249  0.718
Si  0.163  0.947  0.623
Si  0.257  0.276  0.521
Si  0.364  0.408  0.115
Si  0.448  0.073  0.307
Si  0.565  0.191  0.934
Si  0.653  0.541  0.842
Si  0.850  0.607  0.572
Si  0.852  0.266  0.308



2.
The following is a computed PXRD pattern of Mg4Si3. It was derived from a crystal structure in the Materials Project, relaxed with GGA-PBE, using Cu Kα.
Peak positions follow from Bragg's law for the DFT cell and can differ from measured ones.

Largest 6 diffraction maxima, in order of rising 2θ, 2θ = 10–80°:
- 2θ = 34.40°, rel. 51.7
- 2θ = 35.78°, rel. 33.7
- 2θ = 37.10°, rel. 100.0
- 2θ = 38.32°, rel. 46.3
- 2θ = 38.88°, rel. 32.9
- 2θ = 42.12°, rel. 38.4

Atomic structure:
a b c (Å): 6.367 7.084 12.414
angles (deg): 87.76 88.21 78.83
Sites, in units of the cell vectors:
Mg  0.000  0.000  0.000
Mg  0.004  0.878  0.561
Mg  0.194  0.929  0.775
Mg  0.274  0.513  0.700
Mg  0.283  0.565  0.031
Mg  0.327  0.883  0.192
Mg  0.439  0.330  0.263
Mg  0.490  0.960  0.966
Mg  0.526  0.402  0.501
Mg  0.574  0.884  0.466
Mg  0.621  0.019  0.714
Mg  0.748  0.608  0.073
Mg  0.770  0.946  0.222
Mg  0.897  0.307  0.714
Mg  0.984  0.465  0.466
Mg  0.991  0.267  0.199
Si  0.066  0.616  0.234
Si  0.169  0.308  0.885
Si  0.199  0.086  0.392
Si  0.253  0.695  0.387
Si  0.263  0.160  0.585
Si  0.556  0.314  0.875
Si  0.605  0.655  0.828
Si  0.645  0.249  0.067
Si  0.658  0.621  0.305
Si  0.684  0.638  0.631
Si  0.814  0.144  0.396
Si  0.968  0.676  0.877



3.
The following is a computed PXRD pattern of Mg4Si7. It was derived from a crystal structure in the Materials Project, relaxed with GGA-PBE, using Cu Kα.
Peak positions follow from Bragg's law for the DFT cell and can differ from measured ones.

Largest 6 diffraction maxima, in order of rising 2θ, 2θ = 10–80°:
- 2θ = 35.44°, rel. 100.0
- 2θ = 35.70°, rel. 42.9
- 2θ = 36.58°, rel. 92.8
- 2θ = 38.31°, rel. 67.5
- 2θ = 38.80°, rel. 49.0
- 2θ = 46.13°, rel. 82.6

Atomic structure:
a b c (Å): 6.815 3.935 14.670
angles (deg): 90.00 93.50 90.00
Sites, in units of the cell vectors:
Mg  0.000  0.000  0.000
Mg  0.019  0.500  0.178
Mg  0.220  0.000  0.336
Mg  0.433  0.500  0.506
Mg  0.455  0.500  0.742
Mg  0.476  0.000  0.908
Mg  0.521  0.500  0.257
Mg  0.919  0.500  0.414
Si  0.122  0.500  0.632
Si  0.132  0.000  0.525
Si  0.146  0.000  0.764
Si  0.165  0.500  0.879
Si  0.310  0.000  0.144
Si  0.318  0.500  0.035
Si  0.599  0.000  0.391
Si  0.672  0.000  0.131
Si  0.684  0.500  0.033
Si  0.761  0.500  0.636
Si  0.772  0.000  0.538
Si  0.781  0.000  0.769
Si  0.796  0.500  0.877
Si  0.838  0.000  0.279



4.
The following is a computed PXRD pattern of Mg2Si3. It was derived from a crystal structure in the Materials Project, relaxed with GGA-PBE, using Cu Kα.
Peak positions follow from Bragg's law for the DFT cell and can differ from measured ones.

Largest 6 diffraction maxima, in order of rising 2θ, 2θ = 10–80°:
- 2θ = 35.66°, rel. 71.4
- 2θ = 36.50°, rel. 79.2
- 2θ = 37.19°, rel. 83.8
- 2θ = 39.00°, rel. 94.5
- 2θ = 39.13°, rel. 100.0
- 2θ = 48.82°, rel. 92.8

Atomic structure:
a b c (Å): 3.733 5.092 19.950
angles (deg): 89.64 84.98 70.36
Sites, in units of the cell vectors:
Mg  0.003  0.226  0.284
Mg  0.004  0.069  0.427
Mg  0.170  0.208  0.942
Mg  0.361  0.581  0.188
Mg  0.639  0.419  0.812
Mg  0.830  0.792  0.058
Mg  0.996  0.931  0.573
Mg  0.997  0.774  0.716
Si  0.089  0.189  0.125
Si  0.292  0.374  0.532
Si  0.293  0.207  0.685
Si  0.302  0.531  0.374
Si  0.347  0.010  0.800
Si  0.458  0.639  0.950
Si  0.542  0.361  0.050
Si  0.653  0.990  0.200
Si  0.698  0.469  0.626
Si  0.707  0.793  0.315
Si  0.708  0.626  0.468
Si  0.911  0.811  0.875



5.
The following is a computed PXRD pattern of Mg2Si3. It was derived from a crystal structure in the Materials Project, relaxed with GGA-PBE, using Cu Kα.
Peak positions follow from Bragg's law for the DFT cell and can differ from measured ones.

Largest 6 diffraction maxima, in order of rising 2θ, 2θ = 10–80°:
- 2θ = 27.42°, rel. 66.2
- 2θ = 28.51°, rel. 70.9
- 2θ = 33.23°, rel. 65.3
- 2θ = 43.68°, rel. 65.2
- 2θ = 44.75°, rel. 70.5
- 2θ = 47.15°, rel. 100.0

Atomic structure:
a b c (Å): 3.860 6.230 17.453
angles (deg): 82.58 86.60 72.36
Sites, in units of the cell vectors:
Mg  0.000  0.000  0.000
Mg  0.039  0.143  0.657
Mg  0.213  0.675  0.838
Mg  0.327  0.778  0.336
Mg  0.413  0.716  0.159
Mg  0.516  0.284  0.511
Mg  0.601  0.227  0.341
Mg  0.925  0.216  0.824
Si  0.164  0.148  0.227
Si  0.213  0.883  0.536
Si  0.350  0.549  0.628
Si  0.376  0.278  0.933
Si  0.524  0.414  0.051
Si  0.604  0.941  0.760
Si  0.718  0.090  0.147
Si  0.750  0.857  0.453
Si  0.814  0.577  0.710
Si  0.951  0.586  0.993
Si  0.952  0.485  0.408
Si  0.975  0.526  0.265



6.
The following is a computed PXRD pattern of Mg5Si6. It was derived from a crystal structure in the Materials Project, relaxed with GGA-PBE, using Cu Kα.
Peak positions follow from Bragg's law for the DFT cell and can differ from measured ones.

Largest 6 diffraction maxima, in order of rising 2θ, 2θ = 10–80°:
- 2θ = 34.84°, rel. 51.5
- 2θ = 35.12°, rel. 100.0
- 2θ = 35.95°, rel. 78.8
- 2θ = 36.30°, rel. 79.9
- 2θ = 37.49°, rel. 65.3
- 2θ = 46.11°, rel. 82.4

Atomic structure:
a b c (Å): 15.416 15.416 6.824
angles (deg): 100.16 100.16 14.67
Sites, in units of the cell vectors:
Mg  0.000  0.000  0.000
Mg  0.163  0.163  0.960
Mg  0.202  0.202  0.499
Mg  0.278  0.278  0.186
Mg  0.317  0.317  0.704
Mg  0.527  0.527  0.343
Mg  0.571  0.571  0.860
Mg  0.739  0.739  0.838
Mg  0.900  0.900  0.802
Mg  0.939  0.939  0.362
Si  0.017  0.017  0.621
Si  0.088  0.088  0.193
Si  0.093  0.093  0.563
Si  0.372  0.372  0.200
Si  0.445  0.445  0.066
Si  0.468  0.468  0.705
Si  0.637  0.637  0.276
Si  0.644  0.644  0.646
Si  0.711  0.711  0.194
Si  0.768  0.768  0.477
Si  0.829  0.829  0.014
Si  0.847  0.847  0.401